Record 1
Structure and simulated powder XRD pattern of AcTaO4 (a structure optimized by DFT (GGA-PBE); Cu Kα X-rays).

Structural model:
a = 5.850 Å, b = 5.349 Å, c = 5.761 Å
α = 90.00°, β = 103.04°, γ = 90.00°
Element x y z (fractional)
Ac  0.000  0.000  0.000
Ac  0.000  0.500  0.500
Ta  0.500  0.000  0.500
Ta  0.500  0.500  0.000
O  0.180  0.123  0.409
O  0.180  0.377  0.909
O  0.398  0.743  0.722
O  0.398  0.757  0.222
O  0.602  0.243  0.778
O  0.602  0.257  0.278
O  0.820  0.623  0.091
O  0.820  0.877  0.591

Main lines, sorted by position (2θ = 10–90°):
25.72 deg, rel. 100
29.85 deg, rel. 60
31.40 deg, rel. 28
31.89 deg, rel. 26
33.51 deg, rel. 21
46.93 deg, rel. 23


Record 2
Structure and simulated powder XRD pattern of AcTbO3 (a structure optimized by DFT (GGA-PBE); Cu Kα X-rays).

Structural model:
a = 6.201 Å, b = 8.630 Å, c = 6.009 Å
α = 90.00°, β = 90.00°, γ = 90.00°
Element x y z (fractional)
Ac  0.048  0.250  0.014
Ac  0.452  0.750  0.514
Ac  0.548  0.250  0.486
Ac  0.952  0.750  0.986
Tb  0.000  0.000  0.500
Tb  0.000  0.500  0.500
Tb  0.500  0.000  0.000
Tb  0.500  0.500  0.000
O  0.053  0.750  0.381
O  0.197  0.564  0.804
O  0.197  0.936  0.804
O  0.303  0.064  0.304
O  0.303  0.436  0.304
O  0.447  0.250  0.881
O  0.553  0.750  0.119
O  0.697  0.564  0.696
O  0.697  0.936  0.696
O  0.803  0.064  0.196
O  0.803  0.436  0.196
O  0.947  0.250  0.619

Main lines, sorted by position (2θ = 10–90°):
28.79 deg, rel. 22
29.27 deg, rel. 100
29.74 deg, rel. 24
41.87 deg, rel. 32
52.48 deg, rel. 23
68.80 deg, rel. 16


Record 3
Structure and simulated powder XRD pattern of Ac4Tm4O11 (a structure optimized by DFT (GGA-PBE); Cu Kα X-rays).

Structural model:
a = 5.963 Å, b = 6.065 Å, c = 8.495 Å
α = 89.81°, β = 89.94°, γ = 89.75°
Element x y z (fractional)
Ac  0.000  0.000  0.000
Ac  0.017  0.077  0.499
Ac  0.498  0.589  0.500
Ac  0.521  0.499  0.006
Tm  0.005  0.539  0.754
Tm  0.011  0.541  0.253
Tm  0.508  0.039  0.755
Tm  0.512  0.042  0.254
O  0.116  0.583  0.003
O  0.215  0.831  0.694
O  0.217  0.836  0.312
O  0.313  0.342  0.311
O  0.405  0.079  0.005
O  0.612  0.002  0.506
O  0.716  0.746  0.197
O  0.716  0.748  0.813
O  0.798  0.248  0.813
O  0.814  0.241  0.198
O  0.903  0.500  0.504

Main lines, sorted by position (2θ = 10–90°):
29.45 deg, rel. 31
29.71 deg, rel. 100
29.79 deg, rel. 33
29.97 deg, rel. 33
42.59 deg, rel. 29
52.94 deg, rel. 23


Record 4
Structure and simulated powder XRD pattern of Ac2Tm2O5 (a structure optimized by DFT (GGA-PBE); Cu Kα X-rays).

Structural model:
a = 4.304 Å, b = 4.304 Å, c = 8.061 Å
α = 90.00°, β = 90.00°, γ = 90.00°
Element x y z (fractional)
Ac  0.000  0.000  0.000
Ac  0.000  0.000  0.500
Tm  0.500  0.500  0.238
Tm  0.500  0.500  0.762
O  0.000  0.500  0.249
O  0.000  0.500  0.751
O  0.500  0.000  0.249
O  0.500  0.000  0.751
O  0.500  0.500  0.500

Main lines, sorted by position (2θ = 10–90°):
29.34 deg, rel. 50
30.38 deg, rel. 100
41.98 deg, rel. 27
52.69 deg, rel. 44
54.62 deg, rel. 18
63.21 deg, rel. 15


Record 5
Structure and simulated powder XRD pattern of Ac4Tm4O11 (a structure optimized by DFT (GGA-PBE); Cu Kα X-rays).

Structural model:
a = 5.963 Å, b = 8.479 Å, c = 6.084 Å
α = 90.00°, β = 90.12°, γ = 90.00°
Element x y z (fractional)
Ac  0.000  0.000  0.000
Ac  0.014  0.500  0.071
Ac  0.478  0.500  0.591
Ac  0.518  0.000  0.503
Tm  0.007  0.249  0.543
Tm  0.007  0.751  0.543
Tm  0.510  0.249  0.047
Tm  0.510  0.751  0.047
O  0.114  0.000  0.588
O  0.209  0.299  0.846
O  0.209  0.701  0.846
O  0.310  0.302  0.347
O  0.310  0.698  0.347
O  0.404  0.000  0.090
O  0.608  0.500  0.005
O  0.711  0.192  0.748
O  0.711  0.808  0.748
O  0.811  0.196  0.248
O  0.811  0.804  0.248

Main lines, sorted by position (2θ = 10–90°):
29.36 deg, rel. 23
29.74 deg, rel. 100
29.97 deg, rel. 23
42.46 deg, rel. 21
52.31 deg, rel. 17
53.05 deg, rel. 33


Record 6
Structure and simulated powder XRD pattern of Ac3Pr2P4 (a structure optimized by DFT (GGA-PBE); Cu Kα X-rays).

Structural model:
a = 8.811 Å, b = 8.811 Å, c = 4.000 Å
α = 90.00°, β = 90.00°, γ = 120.00°
Element x y z (fractional)
Ac  0.174  0.358  0.000
Ac  0.184  0.826  0.000
Ac  0.642  0.816  0.000
Pr  0.000  0.000  0.500
Pr  0.667  0.333  0.000
P  0.333  0.667  0.500
P  0.364  0.190  0.500
P  0.810  0.173  0.500
P  0.827  0.636  0.500

Main lines, sorted by position (2θ = 10–90°):
23.31 deg, rel. 57
32.43 deg, rel. 100
40.97 deg, rel. 32
53.20 deg, rel. 22
62.75 deg, rel. 18
69.26 deg, rel. 18


Record 7
Structure and simulated powder XRD pattern of AcPW (a structure optimized by DFT (GGA-PBE); Cu Kα X-rays).

Structural model:
a = 11.223 Å, b = 11.223 Å, c = 11.223 Å
α = 20.47°, β = 20.47°, γ = 20.47°
Element x y z (fractional)
Ac  0.113  0.113  0.113
Ac  0.887  0.887  0.887
P  0.282  0.282  0.282
P  0.718  0.718  0.718
W  0.357  0.357  0.357
W  0.643  0.643  0.643

Main lines, sorted by position (2θ = 10–90°):
28.01 deg, rel. 100
29.19 deg, rel. 26
33.87 deg, rel. 42
44.32 deg, rel. 27
45.48 deg, rel. 41
54.27 deg, rel. 34


Record 8
Structure and simulated powder XRD pattern of Ac3Pd4 (a structure optimized by DFT (GGA-PBE); Cu Kα X-rays).

Structural model:
a = 8.540 Å, b = 8.540 Å, c = 8.540 Å
α = 114.60°, β = 114.60°, γ = 114.60°
Element x y z (fractional)
Ac  0.032  0.280  0.407
Ac  0.280  0.407  0.032
Ac  0.407  0.032  0.280
Ac  0.593  0.968  0.720
Ac  0.720  0.593  0.968
Ac  0.968  0.720  0.593
Pd  0.000  0.000  0.000
Pd  0.055  0.555  0.220
Pd  0.220  0.055  0.555
Pd  0.445  0.780  0.945
Pd  0.500  0.500  0.500
Pd  0.555  0.220  0.055
Pd  0.780  0.945  0.445
Pd  0.945  0.445  0.780

Main lines, sorted by position (2θ = 10–90°):
23.95 deg, rel. 25
29.79 deg, rel. 47
30.38 deg, rel. 19
32.97 deg, rel. 100
35.25 deg, rel. 60
65.89 deg, rel. 19


Record 9
Structure and simulated powder XRD pattern of AcPmPr (a structure optimized by DFT (GGA-PBE); Cu Kα X-rays).

Structural model:
a = 5.670 Å, b = 5.670 Å, c = 14.311 Å
α = 90.00°, β = 90.00°, γ = 120.00°
Element x y z (fractional)
Ac  0.000  0.000  0.000
Ac  0.333  0.667  0.667
Ac  0.667  0.333  0.333
Pm  0.000  0.000  0.756
Pm  0.333  0.667  0.423
Pm  0.667  0.333  0.090
Pr  0.000  0.000  0.506
Pr  0.333  0.667  0.173
Pr  0.667  0.333  0.840

Main lines, sorted by position (2θ = 10–90°):
19.11 deg, rel. 38
21.95 deg, rel. 42
30.93 deg, rel. 100
31.56 deg, rel. 95
44.77 deg, rel. 37
55.80 deg, rel. 38


Record 10
Structure and simulated powder XRD pattern of AcPmU (a structure optimized by DFT (GGA-PBE); Cu Kα X-rays).

Structural model:
a = 7.713 Å, b = 7.713 Å, c = 7.713 Å
α = 90.00°, β = 90.00°, γ = 90.00°
Element x y z (fractional)
Ac  0.000  0.000  0.000
Ac  0.000  0.500  0.500
Ac  0.500  0.000  0.500
Ac  0.500  0.500  0.000
Pm  0.250  0.250  0.250
Pm  0.250  0.750  0.750
Pm  0.750  0.250  0.750
Pm  0.750  0.750  0.250
U  0.000  0.000  0.500
U  0.000  0.500  0.000
U  0.500  0.000  0.000
U  0.500  0.500  0.500

Main lines, sorted by position (2θ = 10–90°):
19.94 deg, rel. 14
23.06 deg, rel. 30
32.84 deg, rel. 100
47.13 deg, rel. 19
58.64 deg, rel. 39
78.42 deg, rel. 17


Record 11
Structure and simulated powder XRD pattern of AcPmY (a structure optimized by DFT (GGA-PBE); Cu Kα X-rays).

Structural model:
a = 8.045 Å, b = 8.045 Å, c = 8.045 Å
α = 90.00°, β = 90.00°, γ = 90.00°
Element x y z (fractional)
Ac  0.000  0.000  0.000
Ac  0.000  0.500  0.500
Ac  0.500  0.000  0.500
Ac  0.500  0.500  0.000
Pm  0.250  0.250  0.250
Pm  0.250  0.750  0.750
Pm  0.750  0.250  0.750
Pm  0.750  0.750  0.250
Y  0.000  0.000  0.500
Y  0.000  0.500  0.000
Y  0.500  0.000  0.000
Y  0.500  0.500  0.500

Main lines, sorted by position (2θ = 10–90°):
19.11 deg, rel. 40
31.45 deg, rel. 100
37.06 deg, rel. 24
45.08 deg, rel. 19
56.00 deg, rel. 39
74.61 deg, rel. 17


Record 12
Structure and simulated powder XRD pattern of Ac4PrTe5 (a structure optimized by DFT (GGA-PBE); Cu Kα X-rays).

Structural model:
a = 19.200 Å, b = 19.200 Å, c = 19.200 Å
α = 14.08°, β = 14.08°, γ = 14.08°
Element x y z (fractional)
Ac  0.102  0.102  0.102
Ac  0.299  0.299  0.299
Ac  0.701  0.701  0.701
Ac  0.898  0.898  0.898
Pr  0.500  0.500  0.500
Te  0.000  0.000  0.000
Te  0.197  0.197  0.197
Te  0.402  0.402  0.402
Te  0.598  0.598  0.598
Te  0.803  0.803  0.803

Main lines, sorted by position (2θ = 10–90°):
26.89 deg, rel. 100
38.26 deg, rel. 40
38.54 deg, rel. 38
47.39 deg, rel. 22
62.47 deg, rel. 19
62.86 deg, rel. 17


Record 13
Structure and simulated powder XRD pattern of Ac5Pt2 (a structure optimized by DFT (GGA-PBE); Cu Kα X-rays).

Structural model:
a = 9.922 Å, b = 9.922 Å, c = 7.742 Å
α = 96.72°, β = 96.72°, γ = 41.58°
Element x y z (fractional)
Ac  0.073  0.927  0.750
Ac  0.135  0.291  0.312
Ac  0.291  0.135  0.812
Ac  0.312  0.493  0.082
Ac  0.493  0.312  0.582
Ac  0.507  0.688  0.418
Ac  0.688  0.507  0.918
Ac  0.709  0.865  0.188
Ac  0.865  0.709  0.688
Ac  0.927  0.073  0.250
Pt  0.078  0.702  0.419
Pt  0.298  0.922  0.081
Pt  0.702  0.078  0.919
Pt  0.922  0.298  0.581

Main lines, sorted by position (2θ = 10–90°):
27.35 deg, rel. 100
27.87 deg, rel. 43
28.78 deg, rel. 46
29.06 deg, rel. 45
30.03 deg, rel. 53
30.94 deg, rel. 40


Record 14
Structure and simulated powder XRD pattern of AcPt2 (a structure optimized by DFT (GGA-PBE); Cu Kα X-rays).

Structural model:
a = 4.540 Å, b = 4.540 Å, c = 4.137 Å
α = 90.00°, β = 90.00°, γ = 120.00°
Element x y z (fractional)
Ac  0.000  0.000  0.000
Pt  0.333  0.667  0.500
Pt  0.667  0.333  0.500

Main lines, sorted by position (2θ = 10–90°):
31.39 deg, rel. 100
39.71 deg, rel. 57
43.76 deg, rel. 15
51.47 deg, rel. 26
60.56 deg, rel. 34
66.90 deg, rel. 24